Record 1
The following is a calculated PXRD pattern of PtO2. It was derived from a crystal structure in the Materials Project, relaxed with PBE, using Cu Kα, 1.54184 Å.
Neutral-atom scattering factors, no anomalous dispersion.

Principal peaks in the range 5 to 70 degrees two-theta, most intense first:
(hkl)  d (Å)  I (rel.)
1 1 0  3.250  100
1 0 1  2.654  98
2 1 1  1.737  70
1 1 2  1.453  35
2 0 0  2.298  30
0 0 2  1.625  24

Crystal structure
Cell: 4.596 4.596 3.250 Å, 90.00 90.00 90.00°
Space group P4_2/mnm (No. 136)
Inequivalent atoms, fractional coordinates:
Pt: 0.000 0.000 0.000 (multiplicity 2)
O: 0.190 0.190 0.500 (multiplicity 4)

Record 2
The following is a calculated PXRD pattern of PtO2. It was derived from a crystal structure in the Materials Project, relaxed with PBE, using Cu Kα, 1.54184 Å.
Neutral-atom scattering factors, no anomalous dispersion.

Principal peaks in the range 5 to 70 degrees two-theta, most intense first:
(hkl)  d (Å)  I (rel.)
1 1 0  3.171  100
2 1 1  1.830  43
3 1 0  1.418  19
2 2 0  1.585  17
2 0 0  2.242  14
1 1 1  2.589  1

Crystal structure
Cell: 4.484 4.484 4.484 Å, 90.00 90.00 90.00°
Space group Pn-3m (No. 224, origin choice 2)
Inequivalent atoms, fractional coordinates:
Pt: 0.250 0.250 0.250 (multiplicity 2)
O: 0.000 0.000 0.000 (multiplicity 4)